No. 1
Structure and theoretical PXRD pattern of ErAlNi4 (a DFT-relaxed cell (PBE, Alexandria); Cu Kα X-rays).

Top 10 peaks for 2θ = 5–70°, in order of falling intensity:
2theta	Rel. int.
43.39	100
42.64	80
36.85	55
30.82	51
45.12	44
30.48	41
42.13	35
59.61	26
22.12	26
69.82	23

Structural model:
Unit cell a=4.9920 b=8.3871 c=4.0191 alpha=90.00 beta=90.00 gamma=90.00
Space group Cmmm (No. 65)
Asymmetric unit:
Er 0.0000 0.0000 0.0000
Al 0.0000 0.5000 0.5000
Ni 0.0000 0.3329 0.0000
Ni 0.2500 0.2500 0.5000

***

No. 2
Structure and theoretical PXRD pattern of Pr2P4IrRh3 (a DFT-relaxed cell (PBE, Alexandria); Cu Kα X-rays).

Top 10 peaks for 2θ = 5–70°, in order of falling intensity:
2theta	Rel. int.
35.64	100
35.22	68
43.31	68
31.67	49
57.00	35
52.22	26
62.92	23
66.18	21
27.75	14
48.74	13

Structural model:
Unit cell a=4.1782 b=4.1782 c=9.6457 alpha=90.00 beta=90.00 gamma=90.00
Space group P-4m2 (No. 115)
Asymmetric unit:
Pr 0.0000 0.5000 0.2415
P 0.0000 0.0000 0.0000
P 0.0000 0.5000 0.6385
P 0.5000 0.5000 0.0000
Ir 0.0000 0.0000 0.5000
Rh 0.0000 0.5000 0.8876
Rh 0.5000 0.5000 0.5000

***

No. 3
Structure and theoretical PXRD pattern of B3AuS (a DFT-relaxed cell (PBE, Alexandria); Cu Kα X-rays).

Top 7 peaks for 2θ = 5–70°, in order of falling intensity:
2theta	Rel. int.
32.75	100
23.00	56
58.45	39
52.94	27
40.39	27
46.99	23
68.64	15

Structural model:
Unit cell a=3.8676 b=3.8676 c=3.8676 alpha=90.00 beta=90.00 gamma=90.00
Space group Pm-3m (No. 221)
Asymmetric unit:
B 0.0000 0.0000 0.5000
Au 0.5000 0.5000 0.5000
S 0.0000 0.0000 0.0000

***

No. 4
Structure and theoretical PXRD pattern of K2LaRe (a DFT-relaxed cell (PBE, Alexandria); Cu Kα X-rays).

Top 10 peaks for 2θ = 5–70°, in order of falling intensity:
2theta	Rel. int.
8.49	100
33.97	24
37.21	22
17.02	18
25.65	16
55.49	8
48.31	7
42.12	7
32.83	6
47.22	6

Structural model:
Unit cell a=21.3410 b=3.3780 c=4.6248 alpha=90.00 beta=102.44 gamma=90.00
Space group C2/m (No. 12)
Asymmetric unit:
K 0.1546 0.0000 0.1536
La 0.0000 0.0000 0.5000
Re 0.0000 0.5000 0.0000

***

No. 5
Structure and theoretical PXRD pattern of Pm2Al3Pt (a DFT-relaxed cell (PBE, Alexandria); Cu Kα X-rays).

Top 10 peaks for 2θ = 5–70°, in order of falling intensity:
2theta	Rel. int.
31.47	100
37.76	100
35.84	48
20.34	42
60.24	26
58.90	23
56.03	20
65.69	19
20.71	18
45.45	18

Structural model:
Unit cell a=5.6856 b=5.6856 c=8.7322 alpha=90.00 beta=90.00 gamma=120.00
Space group P6_3/mmc (No. 194)
Asymmetric unit:
Pm 0.3333 0.6667 0.0675
Al 0.1645 0.3290 0.7500
Pt 0.0000 0.0000 0.0000